Starting from DFT lattice parameters and positions (GGA-PBE), the X-ray diffraction stick pattern of Na4Ca4Be4AlSi7O24F4 was computed for λ = 1.5418 Å (Cu Kα).
No peak broadening, texture or thermal motion is included.

Main lines, low angle first (5° ≤ 2θ ≤ 70°):
2theta  I (rel.)  h k l
24.4  30  2 0 2
29.7  38  2 2 2
32.1  100  1 3 2
37.8  27  4 2 0
38.3  24  4 0 2
40.2  20  3 3 2
45.1  24  3 1 4
53.1  32  4 2 4

Crystal structure
a b c (Å): 10.6324 10.6324 10.0262
angles (deg): 90.00 90.00 90.00
Space group I-4 (No. 82)
Symmetry-distinct sites (fractional):
Na (0.0868, 0.2608, 0.0010) x8
Ca (0.0908, 0.2446, 0.5056) x8
Be (0.1070, 0.7490, 0.7216) x8
Al (0.0000, 0.5000, 0.2500) x2
Si (0.0000, 0.0000, 0.2558) x4
Si (0.0000, 0.5000, 0.7500) x2
Si (0.1127, 0.7538, 0.2241) x8
O (0.0312, 0.6259, 0.6602) x8
O (0.0385, 0.8790, 0.1589) x8
O (0.0405, 0.8765, 0.6561) x8
O (0.0479, 0.6298, 0.1518) x8
O (0.1036, 0.7548, 0.3851) x8
O (0.2447, 0.2540, 0.8382) x8
F (0.1082, 0.7470, 0.8800) x8

***

Starting from DFT lattice parameters and positions (GGA-PBE), the X-ray diffraction stick pattern of CeBeAl3 was computed for λ = 1.5418 Å (Cu Kα).
No peak broadening, texture or thermal motion is included.

Main lines, low angle first (5° ≤ 2θ ≤ 70°):
2theta  I (rel.)  h k l
16.7  32  0 0 2
23.0  89  1 0 1
30.4  24  1 1 0
33.2  66  1 0 3
34.9  100  1 1 2
43.6  33  2 0 0
48.0  29  1 0 5
55.9  30  2 1 3

Crystal structure
a b c (Å): 4.1529 4.1529 10.6436
angles (deg): 90.00 90.00 90.00
Space group I4mm (No. 107)
Symmetry-distinct sites (fractional):
Ce (0.0000, 0.0000, 0.0000) x2
Be (0.0000, 0.0000, 0.3830) x2
Al (0.0000, 0.0000, 0.6029) x2
Al (0.0000, 0.5000, 0.2617) x4

***

Starting from DFT lattice parameters and positions (GGA-PBE), the X-ray diffraction stick pattern of Na8BeAl4Si7Cl2O24 was computed for λ = 1.5418 Å (Cu Kα).
No peak broadening, texture or thermal motion is included.

Main lines, low angle first (5° ≤ 2θ ≤ 70°):
2theta  I (rel.)  h k l
13.9  37  1 1 0
24.2  100  1 2 1
34.5  26  2 2 2
37.3  20  1 2 3
37.4  9  2 3 1
42.6  15  3 0 3
42.7  10  3 3 0
63.8  11  2 5 3

Crystal structure
a b c (Å): 8.9861 8.9861 9.0361
angles (deg): 90.00 90.00 90.00
Space group P-4 (No. 81)
Symmetry-distinct sites (fractional):
Na (0.1785, 0.6865, 0.4337) x4
Na (0.2024, 0.3203, 0.0609) x4
Be (0.5000, 0.5000, 0.0000) x1
Al (0.0001, 0.2521, 0.7497) x4
Si (0.0000, 0.0000, 0.0000) x1
Si (0.0000, 0.0000, 0.5000) x1
Si (0.2590, 0.4960, 0.7548) x4
Si (0.5000, 0.5000, 0.5000) x1
Cl (0.0000, 0.5000, 0.2538) x2
O (0.0491, 0.1462, 0.9039) x4
O (0.0497, 0.8550, 0.5963) x4
O (0.1586, 0.3549, 0.6992) x4
O (0.1589, 0.6431, 0.7901) x4
O (0.3563, 0.5438, 0.6016) x4
O (0.3579, 0.4529, 0.8957) x4

***

Starting from DFT lattice parameters and positions (GGA-PBE), the X-ray diffraction stick pattern of Be4AlCr was computed for λ = 1.5418 Å (Cu Kα).
No peak broadening, texture or thermal motion is included.

Main lines, low angle first (5° ≤ 2θ ≤ 70°):
2theta  I (rel.)  h k l
12.6  75  0 0 1
23.7  64  1 0 0
25.4  39  0 0 2
27.0  57  0 1 1
35.1  35  0 1 2
41.7  93  1 1 0
45.8  100  0 1 3
49.5  81  1 1 2

Crystal structure
a b c (Å): 4.3317 4.3317 7.0015
angles (deg): 90.00 90.00 120.00
Space group P-3m1 (No. 164)
Symmetry-distinct sites (fractional):
Be (0.0000, 0.0000, 0.0000) x1
Be (0.0000, 0.0000, 0.5000) x1
Be (0.1685, 0.3371, 0.2415) x6
Al (0.3333, 0.6667, 0.5761) x2
Cr (0.3333, 0.6667, 0.9477) x2

***

Starting from DFT lattice parameters and positions (GGA-PBE), the X-ray diffraction stick pattern of Be4AlCr was computed for λ = 1.5418 Å (Cu Kα).
No peak broadening, texture or thermal motion is included.

Main lines, low angle first (5° ≤ 2θ ≤ 70°):
2theta  I (rel.)  h k l
25.0  96  1 1 1
28.9  15  2 0 0
41.4  100  2 2 0
49.0  92  3 1 1
51.3  6  2 2 2
60.0  7  4 0 0
66.0  16  3 3 1
67.9  4  4 2 0

Crystal structure
a b c (Å): 6.1712 6.1712 6.1712
angles (deg): 90.00 90.00 90.00
Space group F-43m (No. 216)
Symmetry-distinct sites (fractional):
Be (0.1234, 0.1234, 0.1234) x16
Al (0.0000, 0.0000, 0.5000) x4
Cr (0.2500, 0.2500, 0.7500) x4